[1]
Starting from a cell relaxed with GGA-PBE, the powder diffraction line list of Ce4Pr2Te3H2 was calculated for Cu Kα, 1.54184 Å.

Crystal structure
Unit cell a=14.0005 b=14.0005 c=14.0005 alpha=161.43 beta=161.43 gamma=26.38
Fractional coordinates of all 11 atoms:
1 Ce 0.0856 0.5856 0.5000
2 Ce 0.4144 0.9144 0.5000
3 Ce 0.5856 0.0856 0.5000
4 Ce 0.9144 0.4144 0.5000
5 Pr 0.2040 0.2040 0.0000
6 Pr 0.7960 0.7960 0.0000
7 Te 0.3249 0.3249 0.0000
8 Te 0.5000 0.5000 0.0000
9 Te 0.6751 0.6751 0.0000
10 H 0.0670 0.0670 0.0000
11 H 0.9330 0.9330 0.0000

Main lines, low angle first (15° ≤ 2θ ≤ 90°):
| two_theta | I (rel.) |
| --- | --- |
| 26.15 | 14 |
| 28.70 | 48 |
| 30.30 | 27 |
| 30.91 | 31 |
| 32.85 | 17 |
| 34.31 | 100 |
| 39.91 | 53 |
| 52.62 | 18 |
| 57.72 | 18 |
| 68.90 | 26 |

[2]
Starting from a cell relaxed with GGA-PBE, the powder diffraction line list of CeH6Pt4 was calculated for Cu Kα, 1.54184 Å.

Crystal structure
Unit cell a=5.2610 b=5.3120 c=5.7713 alpha=116.28 beta=90.85 gamma=117.70
Fractional coordinates of all 11 atoms:
1 Ce 0.0000 0.0000 0.0000
2 H 0.1104 0.4631 0.9352
3 H 0.1102 0.6501 0.3361
4 H 0.2236 0.3686 0.5254
5 H 0.5255 0.5244 0.1175
6 H 0.5776 0.2122 0.7590
7 H 0.9494 0.9330 0.5389
8 Pt 0.3761 0.7930 0.6397
9 Pt 0.4372 0.8322 0.1501
10 Pt 0.7238 0.5063 0.3489
11 Pt 0.8882 0.2577 0.6145

Main lines, low angle first (15° ≤ 2θ ≤ 90°):
| two_theta | I (rel.) |
| --- | --- |
| 20.42 | 56 |
| 22.75 | 48 |
| 30.82 | 46 |
| 33.80 | 42 |
| 34.10 | 41 |
| 36.14 | 56 |
| 36.36 | 100 |
| 36.94 | 77 |
| 40.74 | 48 |
| 41.52 | 36 |

[3]
Starting from a cell relaxed with GGA-PBE, the powder diffraction line list of CeH4Pt2 was calculated for Cu Kα, 1.54184 Å.

Crystal structure
Unit cell a=4.8274 b=4.8274 c=4.8274 alpha=107.81 beta=107.81 gamma=112.84
Fractional coordinates of all 7 atoms:
1 Ce 0.0000 0.0000 0.0000
2 H 0.2135 0.4988 0.7124
3 H 0.4988 0.7865 0.2853
4 H 0.5012 0.2135 0.7147
5 H 0.7865 0.5012 0.2876
6 Pt 0.2500 0.7500 0.5000
7 Pt 0.7500 0.2500 0.5000

Main lines, low angle first (15° ≤ 2θ ≤ 90°):
| two_theta | I (rel.) |
| --- | --- |
| 22.10 | 52 |
| 22.84 | 31 |
| 31.46 | 100 |
| 39.23 | 16 |
| 40.56 | 100 |
| 45.09 | 37 |
| 46.66 | 15 |
| 62.24 | 58 |
| 74.63 | 17 |
| 79.27 | 15 |

[4]
Starting from a cell relaxed with GGA-PBE, the powder diffraction line list of Ce2SiHPt6 was calculated for Cu Kα, 1.54184 Å.

Crystal structure
Unit cell a=6.8663 b=6.8663 c=6.8663 alpha=49.14 beta=49.14 gamma=49.14
Fractional coordinates of all 10 atoms:
1 Ce 0.2209 0.2209 0.2209
2 Ce 0.7791 0.7791 0.7791
3 Si 0.5000 0.5000 0.5000
4 H 0.0000 0.0000 0.0000
5 Pt 0.2333 0.2333 0.7312
6 Pt 0.2333 0.7312 0.2333
7 Pt 0.2688 0.7667 0.7667
8 Pt 0.7312 0.2333 0.2333
9 Pt 0.7667 0.2688 0.7667
10 Pt 0.7667 0.7667 0.2688

Main lines, low angle first (15° ≤ 2θ ≤ 90°):
| two_theta | I (rel.) |
| --- | --- |
| 29.66 | 35 |
| 30.64 | 15 |
| 34.77 | 12 |
| 37.72 | 100 |
| 39.38 | 15 |
| 41.64 | 68 |
| 55.07 | 12 |
| 65.38 | 24 |
| 73.41 | 16 |
| 78.02 | 12 |